Simulated PXRD pattern of CuSn12Au6 for Cu Kα (weighted mean of Kα1 and Kα2), from a structure optimized by DFT (GGA-PBE).
Kinematic intensities with the Lorentz-polarization factor, no thermal factor.

Most intense lines, 10 to 90 degrees two-theta, most intense first:
- d = 2.330 Å, 2θ 38.65, I = 100
- d = 2.349 Å, 2θ 38.32, I = 97
- d = 3.810 Å, 2θ 23.35, I = 90
- d = 1.654 Å, 2θ 55.56, I = 31
- d = 1.349 Å, 2θ 69.72, I = 25
- d = 3.851 Å, 2θ 23.10, I = 24
- d = 1.993 Å, 2θ 45.50, I = 23
- d = 6.164 Å, 2θ 14.37, I = 19
- d = 2.005 Å, 2θ 45.22, I = 18
- d = 2.788 Å, 2θ 32.10, I = 15
- d = 1.360 Å, 2θ 69.08, I = 14
- d = 1.988 Å, 2θ 45.64, I = 14

Structural model:
Unit cell a=8.093 b=8.093 c=8.093 alpha=99.22 beta=99.22 gamma=99.22
Positions (direct):
Cu 0.000 0.000 0.000
Sn 0.058 0.937 0.318
Sn 0.063 0.682 0.942
Sn 0.178 0.446 0.589
Sn 0.318 0.058 0.937
Sn 0.411 0.822 0.554
Sn 0.446 0.589 0.178
Sn 0.554 0.411 0.822
Sn 0.589 0.178 0.446
Sn 0.682 0.942 0.063
Sn 0.822 0.554 0.411
Sn 0.937 0.318 0.058
Sn 0.942 0.063 0.682
Au 0.139 0.603 0.293
Au 0.293 0.139 0.603
Au 0.397 0.707 0.861
Au 0.603 0.293 0.139
Au 0.707 0.861 0.397
Au 0.861 0.397 0.707

***

Simulated PXRD pattern of Tl2AsS5 for Cu Kα (weighted mean of Kα1 and Kα2), from a structure optimized by DFT (GGA-PBE).
Kinematic intensities with the Lorentz-polarization factor, no thermal factor.

Most intense lines, 10 to 90 degrees two-theta, most intense first:
- d = 3.197 Å, 2θ 27.90, I = 100
- d = 3.763 Å, 2θ 23.65, I = 88
- d = 4.284 Å, 2θ 20.73, I = 83
- d = 4.677 Å, 2θ 18.97, I = 81
- d = 3.227 Å, 2θ 27.65, I = 64
- d = 3.547 Å, 2θ 25.11, I = 48
- d = 1.976 Å, 2θ 45.91, I = 48
- d = 2.881 Å, 2θ 31.04, I = 46
- d = 5.443 Å, 2θ 16.29, I = 41
- d = 3.469 Å, 2θ 25.68, I = 40
- d = 3.213 Å, 2θ 27.77, I = 38
- d = 2.839 Å, 2θ 31.51, I = 38

Structural model:
Unit cell a=5.034 b=6.932 c=7.391 alpha=100.03 beta=99.21 gamma=107.48
Positions (direct):
Tl 0.000 0.000 0.000
Tl 0.067 0.587 0.385
As 0.624 0.311 0.708
S 0.147 0.056 0.577
S 0.178 0.471 0.008
S 0.537 0.389 0.032
S 0.603 0.585 0.609
S 0.854 0.142 0.421

***

Simulated PXRD pattern of Zr4CoPt for Cu Kα (weighted mean of Kα1 and Kα2), from a structure optimized by DFT (GGA-PBE).
Kinematic intensities with the Lorentz-polarization factor, no thermal factor.

Most intense lines, 10 to 90 degrees two-theta, most intense first:
- d = 2.577 Å, 2θ 34.81, I = 100
- d = 2.101 Å, 2θ 43.05, I = 66
- d = 2.064 Å, 2θ 43.86, I = 65
- d = 2.360 Å, 2θ 38.14, I = 61
- d = 4.615 Å, 2θ 19.23, I = 35
- d = 6.527 Å, 2θ 13.57, I = 33
- d = 1.342 Å, 2θ 70.11, I = 31
- d = 2.308 Å, 2θ 39.03, I = 26
- d = 2.919 Å, 2θ 30.63, I = 23
- d = 1.551 Å, 2θ 59.62, I = 20
- d = 1.143 Å, 2θ 84.82, I = 19
- d = 1.403 Å, 2θ 66.68, I = 19

Structural model:
Unit cell a=6.527 b=6.527 c=5.491 alpha=90.00 beta=90.00 gamma=90.00
Positions (direct):
Zr 0.155 0.324 0.000
Zr 0.155 0.676 0.500
Zr 0.324 0.155 0.500
Zr 0.324 0.845 0.000
Zr 0.676 0.155 0.000
Zr 0.676 0.845 0.500
Zr 0.845 0.324 0.500
Zr 0.845 0.676 0.000
Co 0.000 0.000 0.250
Co 0.000 0.000 0.750
Pt 0.500 0.500 0.250
Pt 0.500 0.500 0.750

***

Simulated PXRD pattern of Li2Sm3Ga9 for Cu Kα (weighted mean of Kα1 and Kα2), from a structure optimized by DFT (GGA-PBE).
Kinematic intensities with the Lorentz-polarization factor, no thermal factor.

Most intense lines, 10 to 90 degrees two-theta, most intense first:
- d = 2.579 Å, 2θ 34.79, I = 100
- d = 2.594 Å, 2θ 34.57, I = 75
- d = 2.147 Å, 2θ 42.08, I = 57
- d = 3.037 Å, 2θ 29.41, I = 42
- d = 1.654 Å, 2θ 55.55, I = 28
- d = 2.690 Å, 2θ 33.31, I = 26
- d = 1.778 Å, 2θ 51.38, I = 18
- d = 1.435 Å, 2θ 65.00, I = 18
- d = 2.094 Å, 2θ 43.20, I = 17
- d = 1.369 Å, 2θ 68.52, I = 17
- d = 3.932 Å, 2θ 22.61, I = 16
- d = 1.391 Å, 2θ 67.32, I = 15

Structural model:
Unit cell a=8.367 b=8.367 c=8.367 alpha=150.27 beta=108.57 gamma=79.23
Positions (direct):
Li 0.208 0.000 0.208
Li 0.792 0.000 0.792
Sm 0.187 0.187 0.000
Sm 0.500 0.500 0.000
Sm 0.813 0.813 0.000
Ga 0.000 0.500 0.500
Ga 0.088 0.363 0.725
Ga 0.206 0.838 0.368
Ga 0.362 0.637 0.725
Ga 0.470 0.838 0.632
Ga 0.530 0.162 0.368
Ga 0.638 0.363 0.275
Ga 0.794 0.162 0.632
Ga 0.912 0.637 0.275

***

Simulated PXRD pattern of Ce2YScS6 for Cu Kα (weighted mean of Kα1 and Kα2), from a structure optimized by DFT (GGA-PBE).
Kinematic intensities with the Lorentz-polarization factor, no thermal factor.

Most intense lines, 10 to 90 degrees two-theta, most intense first:
- d = 3.629 Å, 2θ 24.53, I = 100
- d = 3.485 Å, 2θ 25.56, I = 83
- d = 2.286 Å, 2θ 39.42, I = 80
- d = 5.027 Å, 2θ 17.64, I = 64
- d = 2.514 Å, 2θ 35.72, I = 56
- d = 2.012 Å, 2θ 45.06, I = 53
- d = 2.039 Å, 2θ 44.44, I = 51
- d = 3.022 Å, 2θ 29.56, I = 38
- d = 1.741 Å, 2θ 52.57, I = 34
- d = 2.864 Å, 2θ 31.23, I = 20
- d = 1.510 Å, 2θ 61.39, I = 19
- d = 1.421 Å, 2θ 65.70, I = 17

Structural model:
Unit cell a=7.271 b=7.271 c=7.271 alpha=57.27 beta=57.27 gamma=57.27
Positions (direct):
Ce 0.000 0.000 0.000
Ce 0.498 0.498 0.498
Y 0.292 0.292 0.292
Sc 0.795 0.795 0.795
S 0.068 0.430 0.673
S 0.164 0.914 0.585
S 0.430 0.673 0.068
S 0.585 0.164 0.914
S 0.673 0.068 0.430
S 0.914 0.585 0.164

***

Simulated PXRD pattern of Nd7Sm2 for Cu Kα (weighted mean of Kα1 and Kα2), from a structure optimized by DFT (GGA-PBE).
Kinematic intensities with the Lorentz-polarization factor, no thermal factor.

Most intense lines, 10 to 90 degrees two-theta, most intense first:
- d = 2.999 Å, 2θ 29.80, I = 100
- d = 2.595 Å, 2θ 34.57, I = 67
- d = 1.565 Å, 2θ 59.01, I = 43
- d = 2.988 Å, 2θ 29.91, I = 33
- d = 1.837 Å, 2θ 49.62, I = 24
- d = 1.832 Å, 2θ 49.77, I = 24
- d = 1.562 Å, 2θ 59.15, I = 14
- d = 1.499 Å, 2θ 61.89, I = 13
- d = 1.192 Å, 2θ 80.60, I = 12
- d = 1.162 Å, 2θ 83.17, I = 11
- d = 1.159 Å, 2θ 83.38, I = 11
- d = 1.297 Å, 2θ 72.92, I = 8

Structural model:
Unit cell a=6.364 b=6.364 c=8.964 alpha=90.00 beta=90.00 gamma=120.00
Positions (direct):
Nd 0.000 0.000 0.000
Nd 0.000 0.333 0.668
Nd 0.000 0.667 0.332
Nd 0.333 0.000 0.668
Nd 0.333 0.333 0.332
Nd 0.667 0.000 0.332
Nd 0.667 0.667 0.668
Sm 0.333 0.667 0.000
Sm 0.667 0.333 0.000